Simulated XRD peak list of LaC2ClO7 for Cu Kα X-rays, from a cell relaxed with GGA-PBE.
Lines closer than 0.1° are merged.

Peak list (10 most intense, 10° ≤ 2θ ≤ 90°, low angle first)
2θ/deg	I/Imax
11.7	33
15.5	100
16.2	36
16.9	65
21.1	45
26.9	24
28.4	23
35.4	27
37.2	43
39.2	27

Structure:
a b c (Å): 6.0863 15.0868 9.1013
angles (deg): 90.00 105.11 90.00
Fractional positions:
La 0.1629 0.1157 0.1750
La 0.1629 0.3843 0.6750
La 0.8371 0.6157 0.3250
La 0.8371 0.8843 0.8250
C 0.2670 0.5765 0.9375
C 0.2670 0.9235 0.4375
C 0.4041 0.5317 0.4563
C 0.4041 0.9683 0.9563
C 0.5959 0.0317 0.0437
C 0.5959 0.4683 0.5437
C 0.7330 0.0765 0.5625
C 0.7330 0.4235 0.0625
Cl 0.3008 0.2019 0.6398
Cl 0.3008 0.2981 0.1398
Cl 0.6992 0.7019 0.8602
Cl 0.6992 0.7981 0.3602
O 0.0949 0.7066 0.6280
O 0.0949 0.7934 0.1280
O 0.1396 0.1423 0.3884
O 0.1396 0.3577 0.8884
O 0.1667 0.5519 0.8155
O 0.1667 0.9481 0.3155
O 0.1935 0.7176 0.5260
O 0.1935 0.7824 0.0260
O 0.2066 0.5199 0.4762
O 0.2066 0.9801 0.9762
O 0.3689 0.6000 0.0583
O 0.3689 0.9000 0.5583
O 0.4564 0.5901 0.3724
O 0.4564 0.9099 0.8724
O 0.5436 0.0901 0.1276
O 0.5436 0.4099 0.6276
O 0.6311 0.1000 0.4417
O 0.6311 0.4000 0.9417
O 0.7934 0.0199 0.0238
O 0.7934 0.4801 0.5238
O 0.8065 0.2176 0.9740
O 0.8065 0.2824 0.4740
O 0.8333 0.0519 0.6845
O 0.8333 0.4481 0.1845
O 0.8604 0.6423 0.1116
O 0.8604 0.8577 0.6116
O 0.9051 0.2066 0.8720
O 0.9051 0.2934 0.3720

Simulated XRD peak list of LiC6N9Cl for Cu Kα X-rays, from a cell relaxed with GGA-PBE.
Lines closer than 0.1° are merged.

Peak list (10 most intense, 10° ≤ 2θ ≤ 90°, low angle first)
2θ/deg	I/Imax
12.6	14
21.9	14
23.8	100
25.0	24
27.0	69
33.7	12
44.6	12
46.3	9
48.8	10
51.2	15

Structure:
a b c (Å): 8.1205 8.1205 7.4712
angles (deg): 90.00 90.00 60.10
Fractional positions:
Li 0.1634 0.8366 0.5000
Li 0.8366 0.1634 0.0000
C 0.1519 0.3451 0.9922
C 0.1719 0.4846 0.4919
C 0.3273 0.5046 0.9927
C 0.3451 0.1519 0.4922
C 0.4846 0.1719 0.9919
C 0.4954 0.6727 0.9927
C 0.5046 0.3273 0.4927
C 0.5154 0.8281 0.4919
C 0.6549 0.8481 0.9922
C 0.6727 0.4954 0.4927
C 0.8281 0.5154 0.9919
C 0.8481 0.6549 0.4922
N 0.0128 0.6553 0.4909
N 0.1589 0.5088 0.9934
N 0.1766 0.3173 0.4952
N 0.3173 0.1766 0.9952
N 0.3288 0.6712 0.0022
N 0.3370 0.4892 0.4885
N 0.3447 0.9872 0.4909
N 0.4892 0.3370 0.9885
N 0.4912 0.8411 0.9934
N 0.5088 0.1589 0.4934
N 0.5108 0.6630 0.4885
N 0.6553 0.0128 0.9909
N 0.6630 0.5108 0.9885
N 0.6712 0.3288 0.5022
N 0.6827 0.8234 0.4952
N 0.8234 0.6827 0.9952
N 0.8411 0.4912 0.4934
N 0.9872 0.3447 0.9909
Cl 0.0832 0.9168 0.8107
Cl 0.9168 0.0832 0.3107

Repeat the second record exactly.
Simulated XRD peak list of LiC6N9Cl for Cu Kα X-rays, from a cell relaxed with GGA-PBE.
Lines closer than 0.1° are merged.

Peak list (10 most intense, 10° ≤ 2θ ≤ 90°, low angle first)
2θ/deg	I/Imax
12.6	14
21.9	14
23.8	100
25.0	24
27.0	69
33.7	12
44.6	12
46.3	9
48.8	10
51.2	15

Structure:
a b c (Å): 8.1205 8.1205 7.4712
angles (deg): 90.00 90.00 60.10
Fractional positions:
Li 0.1634 0.8366 0.5000
Li 0.8366 0.1634 0.0000
C 0.1519 0.3451 0.9922
C 0.1719 0.4846 0.4919
C 0.3273 0.5046 0.9927
C 0.3451 0.1519 0.4922
C 0.4846 0.1719 0.9919
C 0.4954 0.6727 0.9927
C 0.5046 0.3273 0.4927
C 0.5154 0.8281 0.4919
C 0.6549 0.8481 0.9922
C 0.6727 0.4954 0.4927
C 0.8281 0.5154 0.9919
C 0.8481 0.6549 0.4922
N 0.0128 0.6553 0.4909
N 0.1589 0.5088 0.9934
N 0.1766 0.3173 0.4952
N 0.3173 0.1766 0.9952
N 0.3288 0.6712 0.0022
N 0.3370 0.4892 0.4885
N 0.3447 0.9872 0.4909
N 0.4892 0.3370 0.9885
N 0.4912 0.8411 0.9934
N 0.5088 0.1589 0.4934
N 0.5108 0.6630 0.4885
N 0.6553 0.0128 0.9909
N 0.6630 0.5108 0.9885
N 0.6712 0.3288 0.5022
N 0.6827 0.8234 0.4952
N 0.8234 0.6827 0.9952
N 0.8411 0.4912 0.4934
N 0.9872 0.3447 0.9909
Cl 0.0832 0.9168 0.8107
Cl 0.9168 0.0832 0.3107

Please write out number 1 again, unchanged.
Simulated XRD peak list of LaC2ClO7 for Cu Kα X-rays, from a cell relaxed with GGA-PBE.
Lines closer than 0.1° are merged.

Peak list (10 most intense, 10° ≤ 2θ ≤ 90°, low angle first)
2θ/deg	I/Imax
11.7	33
15.5	100
16.2	36
16.9	65
21.1	45
26.9	24
28.4	23
35.4	27
37.2	43
39.2	27

Structure:
a b c (Å): 6.0863 15.0868 9.1013
angles (deg): 90.00 105.11 90.00
Fractional positions:
La 0.1629 0.1157 0.1750
La 0.1629 0.3843 0.6750
La 0.8371 0.6157 0.3250
La 0.8371 0.8843 0.8250
C 0.2670 0.5765 0.9375
C 0.2670 0.9235 0.4375
C 0.4041 0.5317 0.4563
C 0.4041 0.9683 0.9563
C 0.5959 0.0317 0.0437
C 0.5959 0.4683 0.5437
C 0.7330 0.0765 0.5625
C 0.7330 0.4235 0.0625
Cl 0.3008 0.2019 0.6398
Cl 0.3008 0.2981 0.1398
Cl 0.6992 0.7019 0.8602
Cl 0.6992 0.7981 0.3602
O 0.0949 0.7066 0.6280
O 0.0949 0.7934 0.1280
O 0.1396 0.1423 0.3884
O 0.1396 0.3577 0.8884
O 0.1667 0.5519 0.8155
O 0.1667 0.9481 0.3155
O 0.1935 0.7176 0.5260
O 0.1935 0.7824 0.0260
O 0.2066 0.5199 0.4762
O 0.2066 0.9801 0.9762
O 0.3689 0.6000 0.0583
O 0.3689 0.9000 0.5583
O 0.4564 0.5901 0.3724
O 0.4564 0.9099 0.8724
O 0.5436 0.0901 0.1276
O 0.5436 0.4099 0.6276
O 0.6311 0.1000 0.4417
O 0.6311 0.4000 0.9417
O 0.7934 0.0199 0.0238
O 0.7934 0.4801 0.5238
O 0.8065 0.2176 0.9740
O 0.8065 0.2824 0.4740
O 0.8333 0.0519 0.6845
O 0.8333 0.4481 0.1845
O 0.8604 0.6423 0.1116
O 0.8604 0.8577 0.6116
O 0.9051 0.2066 0.8720
O 0.9051 0.2934 0.3720